No. 1
The following is a simulated powder diffraction line list of CeMg14BO16. It was derived from the PBE geometry in the Materials Project, using Cu Kα (weighted mean of Kα1 and Kα2).
Kinematic intensities with the Lorentz-polarization factor, no thermal factor.

Cell and atoms:
a = 4.366 Å, b = 8.754 Å, c = 8.786 Å
α = 90.00°, β = 90.00°, γ = 90.00°
Fractional coordinates of all 32 atoms:
Ce  0.000  0.000  0.000
Mg  0.000  0.256  0.264
Mg  0.000  0.256  0.736
Mg  0.000  0.500  0.000
Mg  0.000  0.500  0.500
Mg  0.000  0.744  0.264
Mg  0.000  0.744  0.736
Mg  0.500  0.000  0.273
Mg  0.500  0.000  0.727
Mg  0.500  0.249  0.500
Mg  0.500  0.267  0.000
Mg  0.500  0.500  0.255
Mg  0.500  0.500  0.745
Mg  0.500  0.733  0.000
Mg  0.500  0.751  0.500
B  0.000  0.000  0.500
O  0.000  0.000  0.255
O  0.000  0.000  0.745
O  0.000  0.267  0.000
O  0.000  0.270  0.500
O  0.000  0.500  0.249
O  0.000  0.500  0.751
O  0.000  0.730  0.500
O  0.000  0.733  0.000
O  0.500  0.000  0.000
O  0.500  0.000  0.500
O  0.500  0.248  0.250
O  0.500  0.248  0.750
O  0.500  0.500  0.000
O  0.500  0.500  0.500
O  0.500  0.752  0.250
O  0.500  0.752  0.750

Top 6 peaks for 10 to 90 degrees two-theta, in order of rising 2θ:
2θ 10.1, I 81; 2θ 22.7, I 62; 2θ 41.1, I 88; 2θ 41.3, I 88; 2θ 41.4, I 90; 2θ 59.7, I 100

=====

No. 2
The following is a simulated powder diffraction line list of Cu. It was derived from the PBE geometry in the Materials Project, using Cu Kα (weighted mean of Kα1 and Kα2).
Kinematic intensities with the Lorentz-polarization factor, no thermal factor.

Cell and atoms:
a = 2.873 Å, b = 2.873 Å, c = 2.873 Å
α = 90.00°, β = 90.00°, γ = 90.00°
Fractional coordinates of all 2 atoms:
Cu  0.000  0.000  0.000
Cu  0.500  0.500  0.500

Top 3 peaks for 10 to 90 degrees two-theta, in order of rising 2θ:
2θ 44.6, I 100; 2θ 64.9, I 15; 2θ 82.2, I 29

=====

No. 3
The following is a simulated powder diffraction line list of MoS2. It was derived from the PBE geometry in the Materials Project, using Cu Kα (weighted mean of Kα1 and Kα2).
Kinematic intensities with the Lorentz-polarization factor, no thermal factor.

Cell and atoms:
a = 3.190 Å, b = 3.190 Å, c = 18.976 Å
α = 90.00°, β = 90.00°, γ = 120.00°
Fractional coordinates of all 9 atoms:
Mo  0.000  0.000  0.000
Mo  0.333  0.667  0.667
Mo  0.667  0.333  0.333
S  0.000  0.000  0.249
S  0.000  0.000  0.751
S  0.333  0.667  0.418
S  0.333  0.667  0.916
S  0.667  0.333  0.084
S  0.667  0.333  0.582

Top 6 peaks for 10 to 90 degrees two-theta, in order of rising 2θ:
2θ 14.0, I 100; 2θ 32.8, I 39; 2θ 37.7, I 73; 2θ 40.4, I 23; 2θ 50.7, I 29; 2θ 57.8, I 19

=====

No. 4
The following is a simulated powder diffraction line list of Na2CO5. It was derived from the PBE geometry in the Materials Project, using Cu Kα (weighted mean of Kα1 and Kα2).
Kinematic intensities with the Lorentz-polarization factor, no thermal factor.

Cell and atoms:
a = 9.252 Å, b = 5.210 Å, c = 6.136 Å
α = 90.00°, β = 108.07°, γ = 90.00°
Fractional coordinates of all 16 atoms:
Na  0.000  0.000  0.000
Na  0.075  0.000  0.479
Na  0.500  0.500  0.000
Na  0.575  0.500  0.479
C  0.369  0.000  0.242
C  0.869  0.500  0.242
O  0.160  0.377  0.770
O  0.160  0.623  0.770
O  0.237  0.000  0.272
O  0.433  0.214  0.224
O  0.433  0.786  0.224
O  0.660  0.123  0.770
O  0.660  0.877  0.770
O  0.737  0.500  0.272
O  0.933  0.286  0.224
O  0.933  0.714  0.224

Top 6 peaks for 10 to 90 degrees two-theta, in order of rising 2θ:
2θ 15.2, I 56; 2θ 21.2, I 91; 2θ 23.0, I 100; 2θ 26.9, I 64; 2θ 29.0, I 54; 2θ 33.9, I 59

=====

No. 5
The following is a simulated powder diffraction line list of Ta4Cr. It was derived from the PBE geometry in the Materials Project, using Cu Kα (weighted mean of Kα1 and Kα2).
Kinematic intensities with the Lorentz-polarization factor, no thermal factor.

Cell and atoms:
a = 6.532 Å, b = 6.532 Å, c = 6.532 Å
α = 60.00°, β = 60.00°, γ = 60.00°
Fractional coordinates of all 10 atoms:
Ta  0.195  0.768  0.768
Ta  0.232  0.232  0.232
Ta  0.232  0.232  0.805
Ta  0.232  0.805  0.232
Ta  0.768  0.195  0.768
Ta  0.768  0.768  0.195
Ta  0.768  0.768  0.768
Ta  0.805  0.232  0.232
Cr  0.375  0.375  0.375
Cr  0.625  0.625  0.625

Top 6 peaks for 10 to 90 degrees two-theta, in order of rising 2θ:
2θ 33.6, I 100; 2θ 39.0, I 40; 2θ 42.7, I 18; 2θ 51.4, I 25; 2θ 56.3, I 31; 2θ 67.2, I 26

=====

No. 6
The following is a simulated powder diffraction line list of NaZnO3. It was derived from the PBE geometry in the Materials Project, using Cu Kα (weighted mean of Kα1 and Kα2).
Kinematic intensities with the Lorentz-polarization factor, no thermal factor.

Cell and atoms:
a = 12.781 Å, b = 12.781 Å, c = 3.590 Å
α = 90.00°, β = 90.00°, γ = 90.00°
Fractional coordinates of all 40 atoms:
Na  0.139  0.143  0.000
Na  0.143  0.861  0.500
Na  0.357  0.361  0.500
Na  0.361  0.643  0.000
Na  0.639  0.357  0.000
Na  0.643  0.639  0.500
Na  0.857  0.139  0.500
Na  0.861  0.857  0.000
Zn  0.028  0.327  0.500
Zn  0.173  0.472  0.000
Zn  0.327  0.972  0.000
Zn  0.472  0.827  0.500
Zn  0.528  0.173  0.500
Zn  0.673  0.028  0.000
Zn  0.827  0.528  0.000
Zn  0.972  0.673  0.500
O  0.032  0.176  0.500
O  0.069  0.347  0.000
O  0.135  0.662  0.500
O  0.153  0.431  0.500
O  0.162  0.635  0.000
O  0.176  0.968  0.000
O  0.324  0.468  0.000
O  0.338  0.135  0.000
O  0.347  0.931  0.500
O  0.365  0.162  0.500
O  0.431  0.847  0.000
O  0.468  0.676  0.500
O  0.532  0.324  0.500
O  0.569  0.153  0.000
O  0.635  0.838  0.500
O  0.653  0.069  0.500
O  0.662  0.865  0.000
O  0.676  0.532  0.000
O  0.824  0.032  0.000
O  0.838  0.365  0.000
O  0.847  0.569  0.500
O  0.865  0.338  0.500
O  0.931  0.653  0.000
O  0.968  0.824  0.500

Top 6 peaks for 10 to 90 degrees two-theta, in order of rising 2θ:
2θ 19.6, I 85; 2θ 28.5, I 100; 2θ 28.8, I 31; 2θ 29.7, I 40; 2θ 33.4, I 36; 2θ 42.4, I 34

=====

No. 7
The following is a simulated powder diffraction line list of Na2SnH6O6. It was derived from the PBE geometry in the Materials Project, using Cu Kα (weighted mean of Kα1 and Kα2).
Kinematic intensities with the Lorentz-polarization factor, no thermal factor.

Cell and atoms:
a = 5.935 Å, b = 5.935 Å, c = 5.935 Å
α = 67.84°, β = 67.84°, γ = 67.84°
Fractional coordinates of all 15 atoms:
Na  0.117  0.117  0.117
Na  0.883  0.883  0.883
Sn  0.500  0.500  0.500
H  0.047  0.411  0.665
H  0.335  0.953  0.589
H  0.411  0.665  0.047
H  0.589  0.335  0.953
H  0.665  0.047  0.411
H  0.953  0.589  0.335
O  0.208  0.325  0.706
O  0.294  0.792  0.675
O  0.325  0.706  0.208
O  0.675  0.294  0.792
O  0.706  0.208  0.325
O  0.792  0.675  0.294

Top 6 peaks for 10 to 90 degrees two-theta, in order of rising 2θ:
2θ 16.8, I 66; 2θ 19.6, I 27; 2θ 20.2, I 100; 2θ 26.9, I 35; 2θ 33.5, I 63; 2θ 43.8, I 24

=====

No. 8
The following is a simulated powder diffraction line list of In7Cu10. It was derived from the PBE geometry in the Materials Project, using Cu Kα (weighted mean of Kα1 and Kα2).
Kinematic intensities with the Lorentz-polarization factor, no thermal factor.

Cell and atoms:
a = 9.201 Å, b = 9.201 Å, c = 6.782 Å
α = 90.79°, β = 90.79°, γ = 81.24°
Fractional coordinates of all 34 atoms:
In  0.035  0.035  0.284
In  0.069  0.620  0.387
In  0.205  0.657  0.802
In  0.263  0.263  0.933
In  0.334  0.334  0.503
In  0.343  0.795  0.198
In  0.380  0.931  0.613
In  0.620  0.069  0.387
In  0.657  0.205  0.802
In  0.666  0.666  0.497
In  0.737  0.737  0.067
In  0.795  0.343  0.198
In  0.931  0.380  0.613
In  0.965  0.965  0.716
Cu  0.000  0.500  0.000
Cu  0.019  0.792  0.061
Cu  0.092  0.318  0.274
Cu  0.149  0.149  0.608
Cu  0.208  0.981  0.939
Cu  0.282  0.504  0.153
Cu  0.318  0.092  0.274
Cu  0.389  0.611  0.500
Cu  0.451  0.451  0.833
Cu  0.496  0.718  0.847
Cu  0.500  0.000  0.000
Cu  0.504  0.282  0.153
Cu  0.549  0.549  0.167
Cu  0.611  0.389  0.500
Cu  0.682  0.908  0.726
Cu  0.718  0.496  0.847
Cu  0.792  0.019  0.061
Cu  0.851  0.851  0.392
Cu  0.908  0.682  0.726
Cu  0.981  0.208  0.939

Top 6 peaks for 10 to 90 degrees two-theta, in order of rising 2θ:
2θ 29.5, I 29; 2θ 40.4, I 25; 2θ 41.2, I 89; 2θ 41.8, I 100; 2θ 42.2, I 31; 2θ 42.4, I 75

=====

No. 9
The following is a simulated powder diffraction line list of NaSiO3. It was derived from the PBE geometry in the Materials Project, using Cu Kα (weighted mean of Kα1 and Kα2).
Kinematic intensities with the Lorentz-polarization factor, no thermal factor.

Cell and atoms:
a = 3.561 Å, b = 3.561 Å, c = 3.561 Å
α = 90.00°, β = 90.00°, γ = 90.00°
Fractional coordinates of all 5 atoms:
Na  0.000  0.000  0.000
Si  0.500  0.500  0.500
O  0.000  0.500  0.500
O  0.500  0.000  0.500
O  0.500  0.500  0.000

Top 6 peaks for 10 to 90 degrees two-theta, in order of rising 2θ:
2θ 25.0, I 42; 2θ 35.7, I 85; 2θ 44.0, I 42; 2θ 51.3, I 100; 2θ 64.0, I 33; 2θ 75.5, I 51